Ho5SbPd2: theoretical X-ray powder pattern (Cu Kα), based on DFT lattice parameters and positions (GGA-PBE).

Crystal structure
```
data_Ho5SbPd2
_chemical_formula_sum 'Ho20 Sb4 Pd8'
_cell_length_a 7.7284
_cell_length_b 7.7284
_cell_length_c 13.6239
_cell_angle_alpha 90.00
_cell_angle_beta 90.00
_cell_angle_gamma 90.00
_space_group_name_H-M_alt 'I 4/m c m'
_space_group_IT_number 140
_space_group_name_Hall '-I 4 2c'
loop_
_atom_site_label
_atom_site_type_symbol
_atom_site_fract_x
_atom_site_fract_y
_atom_site_fract_z
_atom_site_occupancy
Ho1 Ho 0.0000 0.0000 0.0000 1
Ho2 Ho 0.1567 0.3433 0.1424 1
Sb1 Sb 0.0000 0.0000 0.2500 1
Pd1 Pd 0.1373 0.3627 0.5000 1
```

Main lines, most intense first (10 to 90 degrees two-theta):
32.6°, 2.750 Å, intensity 1000, hkl 2 1 3
36.8°, 2.444 Å, intensity 553, hkl 3 1 0
35.1°, 2.555 Å, intensity 251, hkl 2 0 4
30.9°, 2.891 Å, intensity 212, hkl 1 1 4
68.6°, 1.368 Å, intensity 162, hkl 5 2 3
67.0°, 1.397 Å, intensity 131, hkl 3 1 8
57.4°, 1.606 Å, intensity 130, hkl 3 3 4
82.8°, 1.166 Å, intensity 113, hkl 2 1 11
52.8°, 1.733 Å, intensity 109, hkl 4 1 3
26.6°, 3.351 Å, intensity 107, hkl 2 1 1

---

PaAlV2: theoretical X-ray powder pattern (Cu Kα), based on DFT lattice parameters and positions (GGA-PBE).

Crystal structure
```
data_PaAlV2
_chemical_formula_sum 'Pa4 Al4 V8'
_cell_length_a 6.3841
_cell_length_b 6.3841
_cell_length_c 6.3841
_cell_angle_alpha 90.00
_cell_angle_beta 90.00
_cell_angle_gamma 90.00
_space_group_name_H-M_alt 'F m -3 m'
_space_group_IT_number 225
_space_group_name_Hall '-F 4 2 3'
loop_
_atom_site_label
_atom_site_type_symbol
_atom_site_fract_x
_atom_site_fract_y
_atom_site_fract_z
_atom_site_occupancy
Pa1 Pa 0.0000 0.0000 0.0000 1
Al1 Al 0.0000 0.0000 0.5000 1
V1 V 0.2500 0.2500 0.2500 1
```

Main lines, most intense first (10 to 90 degrees two-theta):
39.9°, 2.257 Å, intensity 1000, hkl 2 2 0
24.1°, 3.686 Å, intensity 764, hkl 1 1 1
47.2°, 1.925 Å, intensity 405, hkl 3 1 1
72.5°, 1.303 Å, intensity 338, hkl 4 2 2
28.0°, 3.192 Å, intensity 232, hkl 2 0 0
63.5°, 1.465 Å, intensity 171, hkl 3 3 1
57.8°, 1.596 Å, intensity 167, hkl 4 0 0
77.7°, 1.229 Å, intensity 130, hkl 5 1 1
86.2°, 1.129 Å, intensity 109, hkl 4 4 0
65.4°, 1.428 Å, intensity 103, hkl 4 2 0

---

Sr2HfO4: theoretical X-ray powder pattern (Cu Kα), based on DFT lattice parameters and positions (GGA-PBE).

Crystal structure
```
data_Sr2HfO4
_chemical_formula_sum 'Sr4 Hf2 O8'
_cell_length_a 4.1157
_cell_length_b 4.1157
_cell_length_c 12.8317
_cell_angle_alpha 90.00
_cell_angle_beta 90.00
_cell_angle_gamma 90.00
_space_group_name_H-M_alt 'I 4/m m m'
_space_group_IT_number 139
_space_group_name_Hall '-I 4 2'
loop_
_atom_site_label
_atom_site_type_symbol
_atom_site_fract_x
_atom_site_fract_y
_atom_site_fract_z
_atom_site_occupancy
Sr1 Sr 0.0000 0.0000 0.1477 1
Hf1 Hf 0.0000 0.0000 0.5000 1
O1 O 0.0000 0.0000 0.3361 1
O2 O 0.0000 0.5000 0.0000 1
```

Main lines, most intense first (10 to 90 degrees two-theta):
30.1°, 2.966 Å, intensity 1000, hkl 1 0 3
30.7°, 2.910 Å, intensity 629, hkl 1 1 0
54.3°, 1.691 Å, intensity 399, hkl 2 1 3
13.8°, 6.416 Å, intensity 351, hkl 0 0 2
44.0°, 2.058 Å, intensity 323, hkl 2 0 0
53.1°, 1.723 Å, intensity 207, hkl 1 1 6
41.5°, 2.178 Å, intensity 183, hkl 1 0 5
62.6°, 1.483 Å, intensity 172, hkl 2 0 6
22.7°, 3.919 Å, intensity 165, hkl 1 0 1
42.3°, 2.139 Å, intensity 146, hkl 0 0 6

---

ZrCdN2: theoretical X-ray powder pattern (Cu Kα), based on DFT lattice parameters and positions (GGA-PBE).

Crystal structure
```
data_ZrCdN2
_chemical_formula_sum 'Zr2 Cd2 N4'
_cell_length_a 3.8690
_cell_length_b 3.8690
_cell_length_c 8.4865
_cell_angle_alpha 90.00
_cell_angle_beta 90.00
_cell_angle_gamma 90.00
_space_group_name_H-M_alt 'P 4/n m m'
_space_group_IT_number 129
loop_
_space_group_symop_operation_xyz
'x,y,z'
'-x,-y,-z'
'-y+1/2,x,z'
'y+1/2,-x,-z'
'-x+1/2,-y+1/2,z'
'x+1/2,y+1/2,-z'
'y,-x+1/2,z'
'-y,x+1/2,-z'
'x+1/2,-y,-z'
'-x+1/2,y,z'
'-y,-x,-z'
'y,x,z'
'-x,y+1/2,-z'
'x,-y+1/2,z'
'y+1/2,x+1/2,-z'
'-y+1/2,-x+1/2,z'
loop_
_atom_site_label
_atom_site_type_symbol
_atom_site_fract_x
_atom_site_fract_y
_atom_site_fract_z
_atom_site_occupancy
Zr1 Zr 0.2500 0.2500 0.1076 1
Cd1 Cd 0.2500 0.2500 0.6156 1
N1 N 0.2500 0.2500 0.3537 1
N2 N 0.2500 0.7500 0.0000 1
```

Main lines, most intense first (10 to 90 degrees two-theta):
31.3°, 2.859 Å, intensity 1000, hkl 1 0 2
32.7°, 2.736 Å, intensity 523, hkl 1 1 0
57.5°, 1.602 Å, intensity 346, hkl 2 1 2
54.8°, 1.677 Å, intensity 251, hkl 1 1 4
47.0°, 1.935 Å, intensity 231, hkl 2 0 0
65.3°, 1.429 Å, intensity 116, hkl 2 0 4
42.6°, 2.122 Å, intensity 108, hkl 0 0 4
89.5°, 1.095 Å, intensity 82, hkl 2 1 6
78.1°, 1.223 Å, intensity 78, hkl 3 1 0
70.9°, 1.328 Å, intensity 73, hkl 1 0 6

---

Sr3Tm: theoretical X-ray powder pattern (Cu Kα), based on DFT lattice parameters and positions (GGA-PBE).

Crystal structure
```
data_Sr3Tm
_chemical_formula_sum 'Sr6 Tm2'
_cell_length_a 8.0482
_cell_length_b 8.0482
_cell_length_c 6.5784
_cell_angle_alpha 90.00
_cell_angle_beta 90.00
_cell_angle_gamma 120.00
_space_group_name_H-M_alt 'P 63/m m c'
_space_group_IT_number 194
_space_group_name_Hall '-P 6c 2c'
loop_
_atom_site_label
_atom_site_type_symbol
_atom_site_fract_x
_atom_site_fract_y
_atom_site_fract_z
_atom_site_occupancy
Sr1 Sr 0.1718 0.3437 0.2500 1
Tm1 Tm 0.3333 0.6667 0.7500 1
```

Main lines, most intense first (10 to 90 degrees two-theta):
29.0°, 3.080 Å, intensity 1000, hkl 2 0 1
27.1°, 3.289 Å, intensity 265, hkl 0 0 2
49.1°, 1.856 Å, intensity 246, hkl 2 0 3
53.4°, 1.716 Å, intensity 238, hkl 2 2 2
25.6°, 3.485 Å, intensity 229, hkl 2 0 0
45.1°, 2.012 Å, intensity 196, hkl 2 2 0
54.5°, 1.684 Å, intensity 183, hkl 4 0 1
37.6°, 2.392 Å, intensity 166, hkl 2 0 2
73.3°, 1.292 Å, intensity 141, hkl 4 2 1
86.1°, 1.129 Å, intensity 98, hkl 4 2 3

---

Please write out number 1 again, unchanged.
Ho5SbPd2: theoretical X-ray powder pattern (Cu Kα), based on DFT lattice parameters and positions (GGA-PBE).

Crystal structure
```
data_Ho5SbPd2
_chemical_formula_sum 'Ho20 Sb4 Pd8'
_cell_length_a 7.7284
_cell_length_b 7.7284
_cell_length_c 13.6239
_cell_angle_alpha 90.00
_cell_angle_beta 90.00
_cell_angle_gamma 90.00
_space_group_name_H-M_alt 'I 4/m c m'
_space_group_IT_number 140
_space_group_name_Hall '-I 4 2c'
loop_
_atom_site_label
_atom_site_type_symbol
_atom_site_fract_x
_atom_site_fract_y
_atom_site_fract_z
_atom_site_occupancy
Ho1 Ho 0.0000 0.0000 0.0000 1
Ho2 Ho 0.1567 0.3433 0.1424 1
Sb1 Sb 0.0000 0.0000 0.2500 1
Pd1 Pd 0.1373 0.3627 0.5000 1
```

Main lines, most intense first (10 to 90 degrees two-theta):
32.6°, 2.750 Å, intensity 1000, hkl 2 1 3
36.8°, 2.444 Å, intensity 553, hkl 3 1 0
35.1°, 2.555 Å, intensity 251, hkl 2 0 4
30.9°, 2.891 Å, intensity 212, hkl 1 1 4
68.6°, 1.368 Å, intensity 162, hkl 5 2 3
67.0°, 1.397 Å, intensity 131, hkl 3 1 8
57.4°, 1.606 Å, intensity 130, hkl 3 3 4
82.8°, 1.166 Å, intensity 113, hkl 2 1 11
52.8°, 1.733 Å, intensity 109, hkl 4 1 3
26.6°, 3.351 Å, intensity 107, hkl 2 1 1

---

Which formula does entry 2 have?
PaAlV2